Entry 1:
Simulated X-ray powder pattern of Sr3BiTe4 for Cu Kα, from a PBE-relaxed structure.

Crystal structure
```
Sr3BiTe4
1.0
6.724 0.000 0.000
0.000 13.223 0.000
0.000 0.000 6.723
Sr Bi Te
6 2 8
direct
0.250 0.000 0.250
0.250 0.250 0.749
0.250 0.500 0.250
0.750 0.000 0.750
0.750 0.500 0.750
0.750 0.750 0.251
0.250 0.750 0.751
0.750 0.250 0.249
0.250 0.250 0.249
0.250 0.507 0.750
0.250 0.750 0.251
0.250 0.993 0.750
0.750 0.007 0.250
0.750 0.250 0.749
0.750 0.493 0.250
0.750 0.750 0.751
```

Peak list (10 most intense, 2θ from 5° to 70°, sorted by position)
2theta	I_rel
26.51	100
26.97	48
37.85	39
38.18	76
47.09	42
54.60	13
61.70	19
61.93	18
62.63	17
68.57	27

Entry 2:
Simulated X-ray powder pattern of CeGa2GeAu for Cu Kα, from a PBE-relaxed structure.

Crystal structure
```
CeGa2GeAu
1.0
-3.258 3.258 5.619
3.258 -3.258 5.619
3.258 3.258 -5.619
Ce Ga Ge Au
2 4 2 2
direct
0.000 0.000 0.000
0.500 0.500 0.000
0.114 0.614 0.229
0.384 0.884 0.771
0.614 0.384 0.500
0.884 0.114 0.500
0.000 0.500 0.500
0.500 0.000 0.500
0.250 0.250 0.000
0.750 0.750 0.000
```

Peak list (10 most intense, 2θ from 5° to 70°, sorted by position)
2theta	I_rel
19.26	57
27.37	100
31.72	23
31.85	69
39.11	55
42.48	62
43.94	43
46.97	28
51.28	43
55.28	43

Entry 3:
Simulated X-ray powder pattern of SmOsRu for Cu Kα, from a PBE-relaxed structure.

Crystal structure
```
SmOsRu
1.0
-2.614 2.775 3.841
2.614 -2.775 3.841
2.614 2.775 -3.841
Sm Os Ru
2 2 2
direct
0.374 0.124 0.250
0.626 0.876 0.750
0.000 0.000 0.500
0.000 0.500 0.000
0.000 0.500 0.500
0.500 0.500 0.000
```

Peak list (10 most intense, 2θ from 5° to 70°, sorted by position)
2theta	I_rel
32.26	28
33.14	44
38.55	57
38.72	56
39.17	26
39.88	100
40.08	48
41.80	44
62.71	40
69.54	44

Entry 4:
Simulated X-ray powder pattern of BaLa2Mn for Cu Kα, from a PBE-relaxed structure.

Crystal structure
```
BaLa2Mn
1.0
3.862 0.000 0.000
0.000 2.208 8.661
0.000 -2.208 8.661
Ba La Mn
1 2 1
direct
0.000 0.000 0.000
0.000 0.678 0.678
0.500 0.314 0.314
0.500 0.185 0.185
```

Peak list (10 most intense, 2θ from 5° to 70°, sorted by position)
2theta	I_rel
10.21	34
25.25	51
25.40	98
31.00	70
31.20	100
34.54	34
40.88	25
48.30	34
52.17	32
57.41	32

Entry 5:
Simulated X-ray powder pattern of Pm2NdHg3 for Cu Kα, from a PBE-relaxed structure.

Crystal structure
```
Pm2NdHg3
1.0
3.825 0.000 0.000
0.000 3.825 0.000
0.000 0.000 11.452
Pm Nd Hg
2 1 3
direct
0.000 0.000 0.166
0.000 0.000 0.834
0.000 0.000 0.500
0.500 0.500 0.000
0.500 0.500 0.331
0.500 0.500 0.669
```

Peak list (7 most intense, 2θ from 5° to 70°, sorted by position)
2theta	I_rel
23.27	3
33.15	100
40.90	1
47.58	18
53.62	1
59.22	38
69.57	12

Entry 6:
Simulated X-ray powder pattern of Sr for Cu Kα, from a PBE-relaxed structure.

Crystal structure
```
Sr
1.0
0.000 3.472 7.395
2.157 0.000 7.395
2.157 3.472 0.000
Sr
2
direct
0.133 0.133 0.867
0.867 0.867 0.133
```

Peak list (10 most intense, 2θ from 5° to 70°, sorted by position)
2theta	I_rel
24.07	59
25.03	100
25.66	52
30.39	87
35.46	43
39.13	18
44.86	21
48.29	23
49.79	44
56.01	23

Entry 7:
Simulated X-ray powder pattern of LaEr2TmSe6 for Cu Kα, from a PBE-relaxed structure.

Crystal structure
```
LaEr2TmSe6
1.0
3.631 2.097 6.457
-3.631 2.097 6.457
0.000 -4.193 6.457
La Er Tm Se
1 2 1 6
direct
0.000 0.000 0.000
0.201 0.201 0.201
0.707 0.707 0.707
0.509 0.509 0.509
0.107 0.419 0.799
0.329 0.917 0.577
0.419 0.799 0.107
0.577 0.329 0.917
0.799 0.107 0.419
0.917 0.577 0.329
```

Peak list (10 most intense, 2θ from 5° to 70°, sorted by position)
2theta	I_rel
16.81	45
23.18	62
24.51	44
28.19	60
33.99	43
37.27	100
42.35	38
43.15	65
49.21	33
58.30	25

Entry 8:
Simulated X-ray powder pattern of Cr6C3N for Cu Kα, from a PBE-relaxed structure.

Crystal structure
```
Cr6C3N
1.0
4.618 -1.397 0.000
4.618 1.397 0.000
-0.177 0.000 6.913
Cr C N
6 3 1
direct
0.098 0.098 0.257
0.352 0.352 0.422
0.359 0.359 0.063
0.641 0.641 0.937
0.648 0.648 0.578
0.902 0.902 0.743
0.000 0.000 0.000
0.252 0.252 0.759
0.748 0.748 0.241
0.000 0.000 0.500
```

Peak list (10 most intense, 2θ from 5° to 70°, sorted by position)
2theta	I_rel
35.91	40
36.09	62
39.02	83
42.58	66
43.44	100
43.75	78
44.39	93
45.54	47
46.00	48
66.98	44

Entry 9:
Simulated X-ray powder pattern of LiAlSb for Cu Kα, from a PBE-relaxed structure.

Crystal structure
```
LiAlSb
1.0
0.000 3.094 7.220
1.536 0.000 7.220
1.536 3.094 0.000
Li Al Sb
1 1 1
direct
0.000 0.000 0.000
0.659 0.659 0.341
0.331 0.331 0.669
```

Peak list (10 most intense, 2θ from 5° to 70°, sorted by position)
2theta	I_rel
12.26	100
24.66	23
28.85	30
31.46	22
33.14	40
37.36	15
37.65	57
38.31	14
45.53	15
57.08	17

Entry 10:
Simulated X-ray powder pattern of Ca4Ac3 for Cu Kα, from a PBE-relaxed structure.

Crystal structure
```
Ca4Ac3
1.0
-1.976 1.976 19.515
1.976 -1.976 19.515
1.976 1.976 -19.515
Ca Ac
4 3
direct
0.071 0.071 0.000
0.358 0.358 0.000
0.642 0.642 0.000
0.929 0.929 0.000
0.215 0.215 0.000
0.500 0.500 0.000
0.785 0.785 0.000
```

Peak list (10 most intense, 2θ from 5° to 70°, sorted by position)
2theta	I_rel
9.06	69
23.53	32
27.67	100
32.06	51
33.36	15
33.96	15
45.97	38
52.24	8
54.50	45
57.14	13

Q: What is the formula in the fourth record?
A: BaLa2Mn

Q: Which formula does entry 3 have?
A: SmOsRu